# LiPa2FeO6
Calculated powder diffractogram, copper Kα. Input: a cell relaxed with PBE+U.
Kinematic intensities with the Lorentz-polarization factor, no thermal factor.

Top 10 peaks for 2θ from 10° to 80°, by angle:
20.7 deg, 4.287 Å, intensity 61, hkl 0 0 1
23.9 deg, 3.719 Å, intensity 57, hkl 1 1 0
31.9 deg, 2.809 Å, intensity 100, hkl 1 1 1
34.1 deg, 2.630 Å, intensity 45, hkl 2 0 0
40.2 deg, 2.242 Å, intensity 51, hkl 2 0 1
49.0 deg, 1.858 Å, intensity 61, hkl 2 2 0
53.7 deg, 1.706 Å, intensity 20, hkl 2 2 1
55.3 deg, 1.662 Å, intensity 35, hkl 2 0 2
59.6 deg, 1.551 Å, intensity 35, hkl 3 1 1
71.8 deg, 1.314 Å, intensity 31, hkl 4 0 0

Cell and atoms:
a = 5.260 Å, b = 5.260 Å, c = 4.287 Å
α = 90.00°, β = 90.00°, γ = 90.00°
Fractional positions:
Li (0.000, 0.000, 0.000)
Pa (0.000, 0.500, 0.415)
Pa (0.500, 0.000, 0.415)
Fe (0.500, 0.500, 0.089)
O (0.000, 0.000, 0.573)
O (0.245, 0.245, 0.124)
O (0.245, 0.755, 0.124)
O (0.500, 0.500, 0.581)
O (0.755, 0.245, 0.124)
O (0.755, 0.755, 0.124)